# CsNa2Sn2Br7
Theoretical PXRD pattern, Cu Kα X-rays. Input: the PBE geometry in Alexandria.
Kinematic intensities with the Lorentz-polarization factor, no thermal factor.

Structure:
```
CsNa2Sn2Br7
1.0
-2.982 12.022 2.995
2.982 -12.022 2.995
2.982 12.022 -2.995
Cs Na Sn Br
1 2 2 7
direct
0.000 0.000 0.000
0.251 0.501 0.750
0.751 0.501 0.250
0.387 0.009 0.378
0.630 0.009 0.622
0.107 0.485 0.622
0.255 0.001 0.254
0.378 0.500 0.878
0.500 0.000 0.500
0.622 0.500 0.122
0.747 0.001 0.746
0.864 0.485 0.378
```

Most intense lines, 2θ = 15–90°, low angle first:
2θ/deg  d [Å]  Rel. int.
25.8  3.457  70.6
29.7  3.006  68.3
29.8  2.995  68.6
30.0  2.982  69.7
42.7  2.119  100.0
53.0  1.729  52.6

---

# CsNa3Sr4Br12
Theoretical PXRD pattern, Cu Kα X-rays. Input: the PBE geometry in Alexandria.
Kinematic intensities with the Lorentz-polarization factor, no thermal factor.

Structure:
```
CsNa3Sr4Br12
1.0
-5.712 5.712 5.712
5.712 -5.712 5.712
5.712 5.712 -5.712
Cs Na Sr Br
1 3 4 12
direct
0.000 0.000 0.000
0.000 0.500 0.500
0.500 0.000 0.500
0.500 0.500 0.000
0.000 0.000 0.500
0.000 0.500 0.000
0.500 0.000 0.000
0.500 0.500 0.500
0.135 0.310 0.825
0.175 0.484 0.310
0.175 0.865 0.690
0.310 0.175 0.484
0.310 0.825 0.135
0.484 0.310 0.175
0.516 0.690 0.825
0.690 0.175 0.865
0.690 0.825 0.516
0.825 0.135 0.310
0.825 0.516 0.690
0.865 0.690 0.175
```

Most intense lines, 2θ = 15–90°, low angle first:
2θ/deg  d [Å]  Rel. int.
24.6  3.612  100.0
29.3  3.053  79.4
31.3  2.856  35.2
38.6  2.332  70.5
46.3  1.959  41.9
69.9  1.346  40.6